Simulated X-ray diffraction stick pattern of BeCrAsO6 for Cu Kα, 1.54184 Å, from DFT lattice parameters and positions (PBE+U).

Structure:
Cell lengths 4.7258, 4.7258, 8.3965 Å; angles 90.00, 90.00, 120.00 degrees
Space group P-31c (No. 163)
Asymmetric unit:
Be: 0.3333 0.6667 0.2500 x2
Cr: 0.0000 0.0000 0.0000 x2
As: 0.3333 0.6667 0.7500 x2
O: 0.0043 0.3457 0.1328 x12

Peak list (10 most intense, 5 to 70 degrees two-theta, by angle)
2θ 24.19, I 70
2θ 30.50, I 100
2θ 38.08, I 23
2θ 38.99, I 21
2θ 43.97, I 27
2θ 45.63, I 14
2θ 49.56, I 23
2θ 58.85, I 48
2θ 64.16, I 21
2θ 68.82, I 21